No. 1
Pu2Ag4S5: simulated powder diffraction line list (Cu Ka), based on a crystal structure in Alexandria, relaxed with GGA-PBE.

Peak list (8 most intense, 2θ from 15° to 90°, most intense first)
- d = 2.827 Å, 2θ 31.65, intensity 100
- d = 3.202 Å, 2θ 27.86, intensity 52
- d = 2.059 Å, 2θ 43.99, intensity 48
- d = 3.434 Å, 2θ 25.95, intensity 45
- d = 1.665 Å, 2θ 55.18, intensity 44
- d = 1.943 Å, 2θ 46.76, intensity 20
- d = 2.548 Å, 2θ 35.23, intensity 18
- d = 1.294 Å, 2θ 73.13, intensity 14

Atomic structure:
Cell lengths 17.1571, 17.1571, 17.1571 Å; angles 13.78, 13.78, 13.78 degrees
Fractional coordinates of all 11 atoms:
Pu  0.1347  0.1347  0.1347
Pu  0.8653  0.8653  0.8653
Ag  0.3080  0.3080  0.3080
Ag  0.4165  0.4165  0.4165
Ag  0.5835  0.5835  0.5835
Ag  0.6920  0.6920  0.6920
S  0.2259  0.2259  0.2259
S  0.3683  0.3683  0.3683
S  0.5000  0.5000  0.5000
S  0.6317  0.6317  0.6317
S  0.7741  0.7741  0.7741



No. 2
In7Hg6Pb16: simulated powder diffraction line list (Cu Ka), based on a crystal structure in Alexandria, relaxed with GGA-PBE.

Peak list (8 most intense, 2θ from 15° to 90°, most intense first)
- d = 2.689 Å, 2θ 33.32, intensity 100
- d = 1.553 Å, 2θ 59.54, intensity 38
- d = 1.902 Å, 2θ 47.83, intensity 18
- d = 1.203 Å, 2θ 79.73, intensity 17
- d = 1.345 Å, 2θ 69.96, intensity 12
- d = 3.803 Å, 2θ 23.39, intensity 7
- d = 5.379 Å, 2θ 16.48, intensity 5
- d = 1.098 Å, 2θ 89.20, intensity 4

Atomic structure:
Cell lengths 10.7575, 10.7575, 10.7575 Å; angles 60.00, 60.00, 60.00 degrees
Fractional coordinates of all 29 atoms:
In  0.0000  0.0000  0.0000
In  0.0000  0.0000  0.5000
In  0.0000  0.5000  0.0000
In  0.0000  0.5000  0.5000
In  0.5000  0.0000  0.0000
In  0.5000  0.0000  0.5000
In  0.5000  0.5000  0.0000
Hg  0.2519  0.2519  0.7481
Hg  0.2519  0.7481  0.2519
Hg  0.2519  0.7481  0.7481
Hg  0.7481  0.2519  0.2519
Hg  0.7481  0.2519  0.7481
Hg  0.7481  0.7481  0.2519
Pb  0.1267  0.1267  0.1267
Pb  0.1267  0.1267  0.6198
Pb  0.1267  0.6198  0.1267
Pb  0.1310  0.6230  0.6230
Pb  0.3770  0.3770  0.3770
Pb  0.3770  0.3770  0.8690
Pb  0.3770  0.8690  0.3770
Pb  0.3802  0.8733  0.8733
Pb  0.6198  0.1267  0.1267
Pb  0.6230  0.1310  0.6230
Pb  0.6230  0.6230  0.1310
Pb  0.6230  0.6230  0.6230
Pb  0.8690  0.3770  0.3770
Pb  0.8733  0.3802  0.8733
Pb  0.8733  0.8733  0.3802
Pb  0.8733  0.8733  0.8733